This entry pairs a crystal structure of Na3NiOs2O9 with its computed PXRD pattern. Radiation: Cu Kα (weighted mean of Kα1 and Kα2). Structure: a cell relaxed with GGA+U.
Peak positions follow from Bragg's law for the DFT cell and can differ from measured ones.

Main lines, by angle (10 to 90 degrees two-theta):
- 22.9°, I = 100
- 32.4°, I = 49
- 32.7°, I = 45
- 46.7°, I = 33
- 52.8°, I = 20
- 58.1°, I = 19

```
Na3NiOs2O9
1.0
5.4821 0.0000 0.0000
-2.7411 4.7476 0.0000
0.0000 0.0000 6.7903
Na Ni Os O
3 1 2 9
Cartesian
0.0000 0.0000 0.0000
0.0000 3.1651 4.4065
2.7411 1.5825 2.3838
0.0000 0.0000 3.3952
0.0000 3.1651 1.1443
2.7411 1.5825 5.6461
-1.3705 2.3738 0.0000
0.0000 1.6246 2.1773
-1.3341 3.9354 2.1773
1.4069 0.8123 4.6130
2.7411 0.0000 0.0000
1.3705 2.3738 0.0000
1.3341 3.9354 2.1773
4.0752 0.8123 4.6130
2.7411 3.1231 4.6130
```